No. 1
The following is a calculated XRD peak list of Th2I2N. It was derived from DFT lattice parameters and positions (GGA-PBE), using a wavelength of 1.5418 Å.

Largest 10 diffraction maxima, by angle, 15° ≤ 2θ ≤ 90°:
d (Å), two_theta, I_rel, (hkl)
4.077, 21.80, 100, 1 0 0
3.944, 22.55, 14, 1 0 1
3.880, 22.92, 21, 0 0 4
2.883, 31.02, 41, 1 1 0
2.811, 31.84, 38, 1 0 4
2.470, 36.38, 16, 1 0 5
2.314, 38.92, 22, 1 1 4
2.039, 44.44, 15, 2 0 0
1.823, 50.02, 22, 2 1 0
1.650, 55.70, 16, 2 1 4

Cell and atoms:
Cell: 4.077 4.077 15.521 Å, 90.00 90.00 90.00°
Sites, in units of the cell vectors:
Th (0.000, 0.000, 0.133)
Th (0.000, 0.000, 0.867)
I (0.000, 0.000, 0.325)
I (0.000, 0.000, 0.675)
N (0.000, 0.000, 0.000)

No. 2
The following is a calculated XRD peak list of TiIN. It was derived from DFT lattice parameters and positions (GGA-PBE), using a wavelength of 1.5418 Å.

Largest 10 diffraction maxima, by angle, 15° ≤ 2θ ≤ 90°:
d (Å), two_theta, I_rel, (hkl)
3.674, 24.23, 100, 0 1 1
3.322, 26.83, 37, 1 0 1
3.200, 27.88, 30, 0 0 3
2.850, 31.39, 39, 1 0 2
2.550, 35.20, 20, 1 1 1
2.374, 37.89, 25, 1 0 3
2.316, 38.88, 41, 1 1 2
2.055, 44.07, 26, 0 1 4
2.039, 44.44, 23, 1 1 3
1.988, 45.63, 20, 0 2 0

Cell and atoms:
Cell: 3.541 3.977 9.600 Å, 90.00 90.00 90.00°
Sites, in units of the cell vectors:
Ti (0.250, 0.250, 0.072)
Ti (0.750, 0.750, 0.928)
I (0.250, 0.750, 0.698)
I (0.750, 0.250, 0.302)
N (0.250, 0.750, 0.034)
N (0.750, 0.250, 0.966)

No. 3
The following is a calculated XRD peak list of U2I2N. It was derived from DFT lattice parameters and positions (GGA-PBE), using a wavelength of 1.5418 Å.

Largest 10 diffraction maxima, by angle, 15° ≤ 2θ ≤ 90°:
d (Å), two_theta, I_rel, (hkl)
3.746, 23.76, 100, 1 0 0
3.676, 24.21, 26, 0 0 4
3.630, 24.53, 13, 1 0 1
2.649, 33.84, 41, 1 1 0
2.624, 34.17, 44, 1 0 4
2.149, 42.05, 25, 1 1 4
2.051, 44.16, 14, 1 0 6
1.873, 48.62, 15, 2 0 0
1.675, 54.80, 21, 2 1 0
1.524, 60.76, 18, 2 1 4

Cell and atoms:
Cell: 3.746 3.746 14.705 Å, 90.00 90.00 90.00°
Sites, in units of the cell vectors:
U (0.000, 0.000, 0.135)
U (0.000, 0.000, 0.865)
I (0.000, 0.000, 0.331)
I (0.000, 0.000, 0.669)
N (0.000, 0.000, 0.000)

No. 4
The following is a calculated XRD peak list of ZnI6N4. It was derived from DFT lattice parameters and positions (GGA-PBE), using a wavelength of 1.5418 Å.

Largest 10 diffraction maxima, by angle, 15° ≤ 2θ ≤ 90°:
d (Å), two_theta, I_rel, (hkl)
4.359, 20.37, 40, 1 0 3
4.287, 20.72, 30, 1 1 0
4.144, 21.44, 68, 1 1 1
3.548, 25.10, 24, 1 0 4
3.354, 26.58, 29, 1 1 3
3.057, 29.22, 100, 0 2 3
2.963, 30.17, 24, 0 1 5
2.651, 33.81, 69, 2 1 2
2.580, 34.77, 21, 1 1 5
2.180, 41.43, 25, 2 0 6

Cell and atoms:
Cell: 8.574 8.574 16.155 Å, 90.00 90.00 120.00°
Sites, in units of the cell vectors:
Zn (0.000, 0.723, 0.167)
Zn (0.277, 0.277, 0.500)
Zn (0.723, 0.000, 0.833)
I (0.110, 0.766, 0.787)
I (0.117, 0.528, 0.010)
I (0.139, 0.320, 0.761)
I (0.180, 0.861, 0.427)
I (0.234, 0.343, 0.120)
I (0.320, 0.139, 0.239)
I (0.343, 0.234, 0.880)
I (0.411, 0.883, 0.677)
I (0.472, 0.589, 0.343)
I (0.528, 0.117, 0.990)
I (0.589, 0.472, 0.657)
I (0.657, 0.890, 0.453)
I (0.680, 0.820, 0.094)
I (0.766, 0.110, 0.213)
I (0.820, 0.680, 0.906)
I (0.861, 0.180, 0.573)
I (0.883, 0.411, 0.323)
I (0.890, 0.657, 0.547)
N (0.065, 0.883, 0.065)
N (0.117, 0.181, 0.398)
N (0.181, 0.117, 0.602)
N (0.215, 0.704, 0.208)
N (0.296, 0.511, 0.541)
N (0.489, 0.785, 0.874)
N (0.511, 0.296, 0.459)
N (0.704, 0.215, 0.792)
N (0.785, 0.489, 0.126)
N (0.819, 0.935, 0.732)
N (0.883, 0.065, 0.935)
N (0.935, 0.819, 0.268)